Entry 1:
Theoretical powder diffraction line list
Compound: LaGdTmTl
Radiation: Cu Ka
Structure: a structure optimized by DFT (GGA-PBE)

Principal peaks in the range 2θ from 10° to 80°, in order of rising 2θ:
Position (°2θ)	I/Imax	h k l
19.5	0.6	1 1 1
22.6	1.5	2 0 0
32.2	100.0	2 2 0
46.2	18.5	4 0 0
52.0	0.7	4 2 0
57.4	39.0	4 2 2
67.3	12.1	4 4 0
76.6	16.8	6 2 0

Structure:
a b c (Å): 7.867 7.867 7.867
angles (deg): 90.00 90.00 90.00
Space group F-43m (No. 216)
Inequivalent atoms, fractional coordinates:
La 0.000 0.000 0.000 x4
Gd 0.000 0.000 0.500 x4
Tm 0.250 0.250 0.250 x4
Tl 0.250 0.250 0.750 x4

=====

Entry 2:
Theoretical powder diffraction line list
Compound: LaGdTm
Radiation: Cu Ka
Structure: a structure optimized by DFT (GGA-PBE)

Principal peaks in the range 2θ from 10° to 80°, in order of rising 2θ:
Position (°2θ)	I/Imax	h k l
31.3	100.0	1 1 0
40.8	5.5	1 1 1
44.9	17.6	2 0 1
52.4	4.1	0 0 2
55.7	29.0	3 0 0
62.3	16.3	1 1 2
65.3	6.4	2 2 0
74.2	8.0	3 1 1

Structure:
a b c (Å): 5.7154 5.7154 3.4907
angles (deg): 90.00 90.00 120.00
Space group P-6m2 (No. 187)
Inequivalent atoms, fractional coordinates:
La 0.0000 0.0000 0.0000 x1
Gd 0.6667 0.3333 0.5000 x1
Tm 0.3333 0.6667 0.0000 x1

=====

Entry 3:
Theoretical powder diffraction line list
Compound: LaGdZn4
Radiation: Cu Ka
Structure: a structure optimized by DFT (GGA-PBE)

Principal peaks in the range 2θ from 10° to 80°, in order of rising 2θ:
Position (°2θ)	I/Imax	h k l
32.1	54.2	2 2 0
37.8	100.0	3 1 1
39.6	19.8	2 2 2
57.2	20.9	4 2 2
61.0	32.0	5 1 1
67.1	24.2	4 4 0
76.3	8.9	6 2 0
79.7	10.9	5 3 3

Structure:
a b c (Å): 7.891 7.891 7.891
angles (deg): 90.00 90.00 90.00
Space group F-43m (No. 216)
Inequivalent atoms, fractional coordinates:
La 0.000 0.000 0.000 x4
Gd 0.250 0.250 0.750 x4
Zn 0.125 0.125 0.375 x16

=====

Entry 4:
Theoretical powder diffraction line list
Compound: Li3Gd
Radiation: Cu Ka
Structure: a structure optimized by DFT (GGA-PBE)

Principal peaks in the range 2θ from 10° to 80°, in order of rising 2θ:
Position (°2θ)	I/Imax	h k l
18.7	36.3	0 0 2
21.9	100.0	1 0 1
28.2	27.0	1 1 0
34.0	42.7	1 1 2
34.7	31.3	1 0 3
44.7	15.5	2 0 2
46.3	28.0	2 1 1
54.2	17.6	2 1 3

Structure:
a b c (Å): 4.482 4.482 9.491
angles (deg): 90.00 90.00 90.00
Space group I4/mmm (No. 139)
Inequivalent atoms, fractional coordinates:
Li 0.000 0.000 0.000 x2
Li 0.000 0.500 0.250 x4
Gd 0.000 0.000 0.500 x2

=====

Entry 5:
Theoretical powder diffraction line list
Compound: LiGdTmLu
Radiation: Cu Ka
Structure: a structure optimized by DFT (GGA-PBE)

Principal peaks in the range 2θ from 10° to 80°, in order of rising 2θ:
Position (°2θ)	I/Imax	h k l
20.1	25.9	1 1 1
23.2	10.2	2 0 0
33.1	100.0	2 2 0
39.0	14.5	3 1 1
47.5	18.4	4 0 0
59.1	38.3	4 2 2
69.4	11.8	4 4 0
79.1	16.6	6 2 0

Structure:
a b c (Å): 7.656 7.656 7.656
angles (deg): 90.00 90.00 90.00
Space group F-43m (No. 216)
Inequivalent atoms, fractional coordinates:
Li 0.000 0.000 0.000 x4
Gd 0.250 0.250 0.250 x4
Tm 0.250 0.250 0.750 x4
Lu 0.000 0.000 0.500 x4

=====

Entry 6:
Theoretical powder diffraction line list
Compound: LiPrGdMn
Radiation: Cu Ka
Structure: a structure optimized by DFT (GGA-PBE)

Principal peaks in the range 2θ from 10° to 80°, in order of rising 2θ:
Position (°2θ)	I/Imax	h k l
24.3	53.1	2 0 0
34.6	100.0	2 2 0
42.8	16.2	2 2 2
49.8	17.7	4 0 0
56.2	22.2	4 2 0
62.1	36.1	4 2 2
73.1	11.0	4 4 0
78.3	10.7	6 0 0

Structure:
a b c (Å): 7.325 7.325 7.325
angles (deg): 90.00 90.00 90.00
Space group F-43m (No. 216)
Inequivalent atoms, fractional coordinates:
Li 0.000 0.000 0.000 x4
Pr 0.250 0.250 0.250 x4
Gd 0.250 0.250 0.750 x4
Mn 0.000 0.000 0.500 x4